For LaPm2Nd4Tm2, a crystal structure in Alexandria, relaxed with GGA-PBE gives the calculated powder XRD pattern in this record (Cu Kα (λ = 1.5418 Å)).
Lines closer than 0.1° are merged.

Cell and atoms:
Unit cell a=8.1471 b=8.1471 c=8.1292 alpha=107.47 beta=107.47 gamma=36.86
Fractional coordinates of all 9 atoms:
La 0.0000 0.0000 0.0000
Pm 0.1118 0.1118 0.6673
Pm 0.8882 0.8882 0.3327
Nd 0.2223 0.2223 0.3294
Nd 0.4446 0.4446 0.6678
Nd 0.5554 0.5554 0.3322
Nd 0.7777 0.7777 0.6706
Tm 0.3309 0.3309 0.0014
Tm 0.6691 0.6691 0.9986

Main lines, sorted by position (2θ = 5–70°):
d (Å)  I/Imax
2.972  100.0
2.574  50.7
1.820  36.3
1.553  28.8
1.551  14.3
1.486  12.4